[1]
The following is a theoretical powder X-ray diffraction pattern of Pm2SmHo2Er. It was derived from a cell relaxed with PBE, using a wavelength of 1.5418 Å.
Kinematic intensities with the Lorentz-polarization factor, no thermal factor.

Atomic structure:
```
data_Pm2SmHo2Er
_chemical_formula_sum 'Pm4 Sm2 Ho4 Er2'
_space_group_name_H-M_alt 'P n n m'
_space_group_IT_number 58
_cell_length_a 6.5866
_cell_length_b 17.9827
_cell_length_c 3.3851
_cell_angle_alpha 90.00
_cell_angle_beta 90.00
_cell_angle_gamma 90.00
loop_
_space_group_symop_operation_xyz
'x,y,z'
'-x,-y,-z'
'-x,-y,z'
'x,y,-z'
'x+1/2,-y+1/2,-z+1/2'
'-x+1/2,y+1/2,z+1/2'
'-x+1/2,y+1/2,-z+1/2'
'x+1/2,-y+1/2,z+1/2'
loop_
_atom_site_label
_atom_site_type_symbol
_atom_site_fract_x
_atom_site_fract_y
_atom_site_fract_z
_atom_site_occupancy
Pm1 Pm 0.2301 0.1858 0.0000 1
Sm1 Sm 0.0000 0.5000 0.0000 1
Ho1 Ho 0.2289 0.3538 0.5000 1
Er1 Er 0.0000 0.0000 0.0000 1
```

Largest 10 diffraction maxima, by intensity, 10° ≤ 2θ ≤ 90°:
2θ = 28.9°, rel. 100, hkl 2 2 0
2θ = 30.3°, rel. 78, hkl 0 3 1
2θ = 29.8°, rel. 77, hkl 0 6 0
2θ = 41.1°, rel. 72, hkl 2 3 1
2θ = 33.7°, rel. 67, hkl 2 4 0
2θ = 31.3°, rel. 41, hkl 1 2 1
2θ = 35.9°, rel. 39, hkl 1 4 1
2θ = 26.8°, rel. 37, hkl 0 1 1
2θ = 32.8°, rel. 35, hkl 1 6 0
2θ = 55.2°, rel. 28, hkl 1 9 1

[2]
The following is a theoretical powder X-ray diffraction pattern of Ho8C3N2. It was derived from a cell relaxed with PBE, using a wavelength of 1.5418 Å.
Kinematic intensities with the Lorentz-polarization factor, no thermal factor.

Atomic structure:
```
data_Ho8C3N2
_chemical_formula_sum 'Ho16 C6 N4'
_space_group_name_H-M_alt 'C 1 2/m 1'
_space_group_IT_number 12
_cell_length_a 12.2211
_cell_length_b 7.0932
_cell_length_c 6.2485
_cell_angle_alpha 90.00
_cell_angle_beta 109.23
_cell_angle_gamma 90.00
loop_
_space_group_symop_operation_xyz
'x,y,z'
'-x,-y,-z'
'-x,y,-z'
'x,-y,z'
'x+1/2,y+1/2,z'
'-x+1/2,-y+1/2,-z'
'-x+1/2,y+1/2,-z'
'x+1/2,-y+1/2,z'
loop_
_atom_site_label
_atom_site_type_symbol
_atom_site_fract_x
_atom_site_fract_y
_atom_site_fract_z
_atom_site_occupancy
Ho1 Ho 0.1181 0.0000 0.2399 1
Ho2 Ho 0.1226 0.5000 0.2185 1
Ho3 Ho 0.1259 0.2386 0.7670 1
C1 C 0.0000 0.0000 0.5000 1
C2 C 0.0000 0.2538 0.0000 1
N1 N 0.2491 0.0000 0.9903 1
```

Largest 10 diffraction maxima, by intensity, 10° ≤ 2θ ≤ 90°:
2θ = 35.6°, rel. 100, hkl 2 2 1
2θ = 30.8°, rel. 83, hkl 2 2 -1
2θ = 31.0°, rel. 41, hkl 4 0 0
2θ = 30.3°, rel. 41, hkl 0 0 2
2θ = 51.8°, rel. 24, hkl 6 2 -1
2θ = 50.8°, rel. 22, hkl 2 2 -3
2θ = 60.4°, rel. 16, hkl 2 2 3
2θ = 61.4°, rel. 12, hkl 4 4 0
2θ = 61.2°, rel. 12, hkl 6 2 1
2θ = 51.5°, rel. 12, hkl 0 4 0

[3]
The following is a theoretical powder X-ray diffraction pattern of Ac2La5Y12. It was derived from a cell relaxed with PBE, using a wavelength of 1.5418 Å.
Kinematic intensities with the Lorentz-polarization factor, no thermal factor.

Atomic structure:
```
data_Ac2La5Y12
_chemical_formula_sum 'Ac4 La10 Y24'
_space_group_name_H-M_alt 'C 1 2/m 1'
_space_group_IT_number 12
_cell_length_a 12.5780
_cell_length_b 7.3020
_cell_length_c 15.3272
_cell_angle_alpha 90.00
_cell_angle_beta 108.13
_cell_angle_gamma 90.00
loop_
_space_group_symop_operation_xyz
'x,y,z'
'-x,-y,-z'
'-x,y,-z'
'x,-y,z'
'x+1/2,y+1/2,z'
'-x+1/2,-y+1/2,-z'
'-x+1/2,y+1/2,-z'
'x+1/2,-y+1/2,z'
loop_
_atom_site_label
_atom_site_type_symbol
_atom_site_fract_x
_atom_site_fract_y
_atom_site_fract_z
_atom_site_occupancy
Ac1 Ac 0.0000 0.2489 0.0000 1
La1 La 0.0000 0.5000 0.5000 1
La2 La 0.0963 0.0000 0.5962 1
La3 La 0.2498 0.0000 0.9988 1
Y1 Y 0.0841 0.2533 0.7865 1
Y2 Y 0.1612 0.0000 0.1980 1
Y3 Y 0.1617 0.5000 0.2006 1
Y4 Y 0.1716 0.2400 0.3922 1
```

Largest 10 diffraction maxima, by intensity, 10° ≤ 2θ ≤ 90°:
2θ = 30.3°, rel. 100, hkl 2 2 1
2θ = 30.7°, rel. 91, hkl 0 0 5
2θ = 31.5°, rel. 87, hkl 2 2 -3
2θ = 32.3°, rel. 59, hkl 4 0 -4
2θ = 32.4°, rel. 52, hkl 4 0 1
2θ = 34.7°, rel. 51, hkl 2 2 -4
2θ = 28.5°, rel. 45, hkl 4 0 -2
2θ = 28.3°, rel. 44, hkl 2 2 -1
2θ = 33.1°, rel. 43, hkl 2 2 2
2θ = 60.8°, rel. 36, hkl 4 4 -4

[4]
The following is a theoretical powder X-ray diffraction pattern of Ho4GaTe2. It was derived from a cell relaxed with PBE, using a wavelength of 1.5418 Å.
Kinematic intensities with the Lorentz-polarization factor, no thermal factor.

Atomic structure:
```
data_Ho4GaTe2
_chemical_formula_sum 'Ho16 Ga4 Te8'
_space_group_name_H-M_alt 'C m c m'
_space_group_IT_number 63
_space_group_name_Hall '-C 2c 2'
_cell_length_a 4.2382
_cell_length_b 13.7870
_cell_length_c 14.0553
_cell_angle_alpha 90.00
_cell_angle_beta 90.00
_cell_angle_gamma 90.00
loop_
_atom_site_label
_atom_site_type_symbol
_atom_site_fract_x
_atom_site_fract_y
_atom_site_fract_z
_atom_site_occupancy
Ho1 Ho 0.0000 0.0000 0.0000 1
Ho2 Ho 0.0000 0.2894 0.1316 1
Ho3 Ho 0.0000 0.4732 0.7500 1
Ga1 Ga 0.0000 0.1143 0.7500 1
Te1 Te 0.0000 0.3586 0.5693 1
```

Largest 10 diffraction maxima, by intensity, 10° ≤ 2θ ≤ 90°:
2θ = 28.5°, rel. 100, hkl 0 2 4
2θ = 31.4°, rel. 90, hkl 1 3 2
2θ = 29.4°, rel. 65, hkl 1 3 1
2θ = 39.0°, rel. 64, hkl 1 1 5
2θ = 28.7°, rel. 46, hkl 1 3 0
2θ = 52.1°, rel. 43, hkl 2 2 4
2θ = 42.7°, rel. 42, hkl 2 0 0
2θ = 41.1°, rel. 32, hkl 1 5 2
2θ = 43.9°, rel. 29, hkl 0 6 3
2θ = 43.7°, rel. 25, hkl 1 5 3

[5]
The following is a theoretical powder X-ray diffraction pattern of ErTh2P3Ir12. It was derived from a cell relaxed with PBE, using a wavelength of 1.5418 Å.
Kinematic intensities with the Lorentz-polarization factor, no thermal factor.

Atomic structure:
```
data_ErTh2P3Ir12
_chemical_formula_sum 'Er3 Th6 P9 Ir36'
_space_group_name_H-M_alt 'R -3 m'
_space_group_IT_number 166
_space_group_name_Hall '-R 3 2"'
_cell_length_a 9.2118
_cell_length_b 9.2118
_cell_length_c 12.9144
_cell_angle_alpha 90.00
_cell_angle_beta 90.00
_cell_angle_gamma 120.00
loop_
_atom_site_label
_atom_site_type_symbol
_atom_site_fract_x
_atom_site_fract_y
_atom_site_fract_z
_atom_site_occupancy
Er1 Er 0.0000 0.0000 0.0000 1
Th1 Th 0.0000 0.0000 0.3585 1
P1 P 0.0000 0.5000 0.5000 1
Ir1 Ir 0.0050 0.5025 0.3256 1
Ir2 Ir 0.0102 0.5051 0.8804 1
```

Largest 10 diffraction maxima, by intensity, 10° ≤ 2θ ≤ 90°:
2θ = 39.1°, rel. 100, hkl 2 2 0
2θ = 35.8°, rel. 39, hkl 0 2 4
2θ = 41.7°, rel. 22, hkl 2 0 5
2θ = 70.9°, rel. 17, hkl 6 0 0
2θ = 78.5°, rel. 14, hkl 2 2 9
2θ = 20.6°, rel. 14, hkl 0 0 3
2θ = 58.7°, rel. 14, hkl 2 2 6
2θ = 44.6°, rel. 12, hkl 2 2 3
2θ = 54.0°, rel. 12, hkl 4 0 4
2θ = 68.7°, rel. 12, hkl 2 4 4

[6]
The following is a theoretical powder X-ray diffraction pattern of HfGa3Pt. It was derived from a cell relaxed with PBE, using a wavelength of 1.5418 Å.
Kinematic intensities with the Lorentz-polarization factor, no thermal factor.

Atomic structure:
```
data_HfGa3Pt
_chemical_formula_sum 'Hf2 Ga6 Pt2'
_space_group_name_H-M_alt 'P m m n'
_space_group_IT_number 59
_cell_length_a 4.1802
_cell_length_b 6.5061
_cell_length_c 6.6358
_cell_angle_alpha 90.00
_cell_angle_beta 90.00
_cell_angle_gamma 90.00
loop_
_space_group_symop_operation_xyz
'x,y,z'
'-x,-y,-z'
'-x+1/2,-y+1/2,z'
'x+1/2,y+1/2,-z'
'x+1/2,-y,-z'
'-x+1/2,y,z'
'-x,y+1/2,-z'
'x,-y+1/2,z'
loop_
_atom_site_label
_atom_site_type_symbol
_atom_site_fract_x
_atom_site_fract_y
_atom_site_fract_z
_atom_site_occupancy
Hf1 Hf 0.2500 0.2500 0.1793 1
Ga1 Ga 0.2500 0.0364 0.7811 1
Ga2 Ga 0.2500 0.7500 0.4994 1
Pt1 Pt 0.2500 0.7500 0.1168 1
```

Largest 10 diffraction maxima, by intensity, 10° ≤ 2θ ≤ 90°:
2θ = 37.6°, rel. 100, hkl 1 2 1
2θ = 13.3°, rel. 51, hkl 0 0 1
2θ = 44.6°, rel. 51, hkl 1 2 2
2θ = 43.3°, rel. 39, hkl 2 0 0
2θ = 37.3°, rel. 32, hkl 1 1 2
2θ = 27.4°, rel. 31, hkl 0 2 0
2θ = 34.5°, rel. 26, hkl 1 0 2
2θ = 40.8°, rel. 22, hkl 0 0 3
2θ = 25.2°, rel. 16, hkl 1 0 1
2θ = 73.8°, rel. 14, hkl 2 4 0

[7]
The following is a theoretical powder X-ray diffraction pattern of Si. It was derived from a cell relaxed with PBE, using a wavelength of 1.5418 Å.
Kinematic intensities with the Lorentz-polarization factor, no thermal factor.

Atomic structure:
```
data_Si
_chemical_formula_sum 'Si8'
_space_group_name_H-M_alt 'P 1 2 1'
_space_group_IT_number 3
_cell_length_a 3.8015
_cell_length_b 7.8799
_cell_length_c 5.6500
_cell_angle_alpha 90.00
_cell_angle_beta 102.65
_cell_angle_gamma 90.00
loop_
_space_group_symop_operation_xyz
'x,y,z'
'-x,y,-z'
loop_
_atom_site_label
_atom_site_type_symbol
_atom_site_fract_x
_atom_site_fract_y
_atom_site_fract_z
_atom_site_occupancy
Si1 Si 0.0000 0.0000 0.0000 1
Si2 Si 0.0516 0.4469 0.2115 1
Si3 Si 0.1964 0.1692 0.3682 1
Si4 Si 0.4335 0.6173 0.6939 1
Si5 Si 0.5000 0.8259 0.0000 1
```

Largest 10 diffraction maxima, by intensity, 10° ≤ 2θ ≤ 90°:
2θ = 26.6°, rel. 100, hkl 1 1 0
2θ = 27.8°, rel. 85, hkl 0 2 1
2θ = 34.5°, rel. 76, hkl 0 1 2
2θ = 50.5°, rel. 69, hkl 1 3 -2
2θ = 19.7°, rel. 57, hkl 0 1 1
2θ = 33.2°, rel. 43, hkl 1 2 0
2θ = 47.4°, rel. 40, hkl 1 3 1
2θ = 11.2°, rel. 35, hkl 0 1 0
2θ = 28.3°, rel. 35, hkl 1 1 -1
2θ = 51.0°, rel. 35, hkl 1 2 2

[8]
The following is a theoretical powder X-ray diffraction pattern of PrTiO4. It was derived from a cell relaxed with PBE, using a wavelength of 1.5418 Å.
Kinematic intensities with the Lorentz-polarization factor, no thermal factor.

Atomic structure:
```
data_PrTiO4
_chemical_formula_sum 'Pr2 Ti2 O8'
_space_group_name_H-M_alt 'P m m n'
_space_group_IT_number 59
_cell_length_a 3.9627
_cell_length_b 7.5306
_cell_length_c 5.8051
_cell_angle_alpha 90.00
_cell_angle_beta 90.00
_cell_angle_gamma 90.00
loop_
_space_group_symop_operation_xyz
'x,y,z'
'-x,-y,-z'
'-x+1/2,-y+1/2,z'
'x+1/2,y+1/2,-z'
'x+1/2,-y,-z'
'-x+1/2,y,z'
'-x,y+1/2,-z'
'x,-y+1/2,z'
loop_
_atom_site_label
_atom_site_type_symbol
_atom_site_fract_x
_atom_site_fract_y
_atom_site_fract_z
_atom_site_occupancy
Pr1 Pr 0.2500 0.2500 0.0736 1
Ti1 Ti 0.2500 0.7500 0.3817 1
O1 O 0.2500 0.2500 0.6406 1
O2 O 0.2500 0.5637 0.1741 1
O3 O 0.2500 0.7500 0.7010 1
```

Largest 10 diffraction maxima, by intensity, 10° ≤ 2θ ≤ 90°:
2θ = 29.8°, rel. 100, hkl 1 1 1
2θ = 23.6°, rel. 81, hkl 0 2 0
2θ = 45.6°, rel. 47, hkl 1 3 1
2θ = 15.3°, rel. 44, hkl 0 0 1
2θ = 33.1°, rel. 41, hkl 0 1 2
2θ = 27.2°, rel. 26, hkl 1 0 1
2θ = 58.5°, rel. 23, hkl 1 2 3
2θ = 45.8°, rel. 21, hkl 2 0 0
2θ = 47.9°, rel. 21, hkl 0 3 2
2θ = 25.4°, rel. 21, hkl 1 1 0

[9]
The following is a theoretical powder X-ray diffraction pattern of Ac4P. It was derived from a cell relaxed with PBE, using a wavelength of 1.5418 Å.
Kinematic intensities with the Lorentz-polarization factor, no thermal factor.

Atomic structure:
```
data_Ac4P
_chemical_formula_sum 'Ac4 P1'
_space_group_name_H-M_alt 'P m -3 m'
_space_group_IT_number 221
_space_group_name_Hall '-P 4 2 3'
_cell_length_a 5.9928
_cell_length_b 5.9928
_cell_length_c 5.9928
_cell_angle_alpha 90.00
_cell_angle_beta 90.00
_cell_angle_gamma 90.00
loop_
_atom_site_label
_atom_site_type_symbol
_atom_site_fract_x
_atom_site_fract_y
_atom_site_fract_z
_atom_site_occupancy
Ac1 Ac 0.0000 0.0000 0.0000 1
Ac2 Ac 0.0000 0.5000 0.5000 1
P1 P 0.5000 0.5000 0.5000 1
```

Largest 10 diffraction maxima, by intensity, 10° ≤ 2θ ≤ 90°:
2θ = 25.7°, rel. 100, hkl 1 1 1
2θ = 29.8°, rel. 60, hkl 2 0 0
2θ = 50.5°, rel. 50, hkl 3 1 1
2θ = 42.7°, rel. 46, hkl 2 2 0
2θ = 70.2°, rel. 22, hkl 4 2 0
2θ = 68.2°, rel. 21, hkl 3 3 1
2θ = 52.9°, rel. 17, hkl 2 2 2
2θ = 78.1°, rel. 16, hkl 4 2 2
2θ = 83.9°, rel. 16, hkl 5 1 1
2θ = 61.9°, rel. 8, hkl 4 0 0

[10]
The following is a theoretical powder X-ray diffraction pattern of Y2Ho2Er. It was derived from a cell relaxed with PBE, using a wavelength of 1.5418 Å.
Kinematic intensities with the Lorentz-polarization factor, no thermal factor.

Atomic structure:
```
data_Y2Ho2Er
_chemical_formula_sum 'Y8 Ho8 Er4'
_space_group_name_H-M_alt 'P 1 21/c 1'
_space_group_IT_number 14
_cell_length_a 14.4986
_cell_length_b 7.1088
_cell_length_c 6.1538
_cell_angle_alpha 90.00
_cell_angle_beta 98.11
_cell_angle_gamma 90.00
loop_
_space_group_symop_operation_xyz
'x,y,z'
'-x,-y,-z'
'-x,y+1/2,-z+1/2'
'x,-y+1/2,z+1/2'
loop_
_atom_site_label
_atom_site_type_symbol
_atom_site_fract_x
_atom_site_fract_y
_atom_site_fract_z
_atom_site_occupancy
Y1 Y 0.1017 0.1251 0.1164 1
Y2 Y 0.3009 0.6248 0.8524 1
Ho1 Ho 0.1012 0.6249 0.1169 1
Ho2 Ho 0.4993 0.1250 0.2482 1
Er1 Er 0.3012 0.1252 0.8502 1
```

Largest 10 diffraction maxima, by intensity, 10° ≤ 2θ ≤ 90°:
2θ = 32.5°, rel. 100, hkl 3 0 -2
2θ = 33.5°, rel. 97, hkl 2 0 2
2θ = 31.2°, rel. 77, hkl 5 0 0
2θ = 61.4°, rel. 66, hkl 5 4 0
2θ = 51.4°, rel. 57, hkl 0 4 0
2θ = 30.2°, rel. 48, hkl 1 2 1
2θ = 30.9°, rel. 44, hkl 1 0 2
2θ = 35.9°, rel. 32, hkl 4 0 -2
2θ = 29.3°, rel. 28, hkl 1 2 -1
2θ = 37.2°, rel. 26, hkl 4 2 -1

[11]
The following is a theoretical powder X-ray diffraction pattern of TaTiTlHg2. It was derived from a cell relaxed with PBE, using a wavelength of 1.5418 Å.
Kinematic intensities with the Lorentz-polarization factor, no thermal factor.

Atomic structure:
```
data_TaTiTlHg2
_chemical_formula_sum 'Ta1 Ti1 Tl1 Hg2'
_space_group_name_H-M_alt 'P 4/m m m'
_space_group_IT_number 123
_space_group_name_Hall '-P 4 2'
_cell_length_a 5.2660
_cell_length_b 5.2660
_cell_length_c 5.3294
_cell_angle_alpha 90.00
_cell_angle_beta 90.00
_cell_angle_gamma 90.00
loop_
_atom_site_label
_atom_site_type_symbol
_atom_site_fract_x
_atom_site_fract_y
_atom_site_fract_z
_atom_site_occupancy
Ta1 Ta 0.0000 0.0000 0.0000 1
Ti1 Ti 0.5000 0.5000 0.5000 1
Tl1 Tl 0.0000 0.0000 0.5000 1
Hg1 Hg 0.0000 0.5000 0.0000 1
```

Largest 10 diffraction maxima, by intensity, 10° ≤ 2θ ≤ 90°:
2θ = 34.1°, rel. 100, hkl 2 0 0
2θ = 29.3°, rel. 96, hkl 1 1 1
2θ = 16.8°, rel. 87, hkl 1 0 0
2θ = 48.6°, rel. 74, hkl 2 0 2
2θ = 33.6°, rel. 52, hkl 0 0 2
2θ = 38.2°, rel. 48, hkl 2 0 1
2θ = 16.6°, rel. 44, hkl 0 0 1
2θ = 60.7°, rel. 38, hkl 2 2 2
2θ = 48.9°, rel. 36, hkl 2 2 0
2θ = 58.0°, rel. 28, hkl 3 1 1

[12]
The following is a theoretical powder X-ray diffraction pattern of Er3Mg7In2. It was derived from a cell relaxed with PBE, using a wavelength of 1.5418 Å.
Kinematic intensities with the Lorentz-polarization factor, no thermal factor.

Atomic structure:
```
data_Er3Mg7In2
_chemical_formula_sum 'Er9 Mg21 In6'
_space_group_name_H-M_alt 'R -3 m'
_space_group_IT_number 166
_space_group_name_Hall '-R 3 2"'
_cell_length_a 6.0011
_cell_length_b 6.0011
_cell_length_c 28.8929
_cell_angle_alpha 90.00
_cell_angle_beta 90.00
_cell_angle_gamma 120.00
loop_
_atom_site_label
_atom_site_type_symbol
_atom_site_fract_x
_atom_site_fract_y
_atom_site_fract_z
_atom_site_occupancy
Er1 Er 0.0000 0.0000 0.0000 1
Er2 Er 0.0000 0.0000 0.1454 1
Mg1 Mg 0.0000 0.0000 0.5000 1
Mg2 Mg 0.0060 0.5030 0.9160 1
In1 In 0.0000 0.0000 0.3345 1
```

Largest 10 diffraction maxima, by intensity, 10° ≤ 2θ ≤ 90°:
2θ = 35.2°, rel. 100, hkl 1 1 6
2θ = 29.8°, rel. 78, hkl 1 1 0
2θ = 18.4°, rel. 41, hkl 0 0 6
2θ = 27.6°, rel. 28, hkl 1 0 7
2θ = 56.4°, rel. 25, hkl 3 0 6
2θ = 17.3°, rel. 18, hkl 1 0 1
2θ = 61.8°, rel. 16, hkl 2 2 0
2θ = 52.8°, rel. 16, hkl 3 0 0
2θ = 88.6°, rel. 15, hkl 4 1 6
2θ = 56.8°, rel. 13, hkl 1 1 15